Entry 1:
# Li5VP3O11
Theoretical powder XRD pattern, a wavelength of 1.5418 Å. Input: a cell relaxed with PBE+U.
Intensities are scaled so that the largest is 100.

Main lines, most intense first (15 to 90 degrees two-theta):
2θ 18.48, I = 100.0; 2θ 22.13, I = 95.3; 2θ 34.28, I = 71.7; 2θ 19.15, I = 49.0; 2θ 31.71, I = 45.5; 2θ 26.59, I = 41.7; 2θ 39.96, I = 33.7; 2θ 20.41, I = 32.1; 2θ 35.25, I = 31.8; 2θ 22.62, I = 31.1; 2θ 16.56, I = 29.7; 2θ 32.90, I = 25.1

Atomic structure:
```
Li5VP3O11
1.0
5.375 0.000 0.000
0.729 8.498 0.000
0.278 0.862 9.602
Li V P O
10 2 6 22
Cartesian
0.157 0.324 3.248 Li
1.607 5.949 7.887 Li
1.571 3.794 6.402 Li
2.039 5.838 1.513 Li
2.154 3.529 3.276 Li
4.227 5.831 6.326 Li
4.342 3.522 8.089 Li
4.810 5.566 3.200 Li
4.774 3.410 1.715 Li
6.224 9.036 6.354 Li
0.000 0.000 0.000 V
2.826 0.431 4.801 V
1.480 2.808 0.188 P
2.190 6.420 4.653 P
2.583 0.585 1.785 P
3.798 8.775 7.817 P
4.191 2.940 4.949 P
4.901 6.552 9.415 P
0.929 7.203 9.459 O
1.592 7.854 4.848 O
1.451 5.615 3.551 O
1.485 3.816 1.342 O
1.630 0.795 7.812 O
2.202 8.049 1.544 O
2.165 5.669 6.018 O
2.252 4.160 8.433 O
2.196 1.407 3.022 O
2.702 2.656 5.348 O
2.563 1.650 0.555 O
3.818 7.710 9.048 O
3.679 6.704 4.254 O
4.185 7.953 6.580 O
4.129 5.200 1.169 O
4.216 3.691 3.584 O
4.180 1.311 8.058 O
4.751 8.565 1.791 O
4.896 5.544 8.260 O
4.930 3.745 6.052 O
4.789 1.506 4.754 O
5.452 2.157 0.143 O
```

---

Entry 2:
# Ti3Co2NiP6O24
Theoretical powder XRD pattern, a wavelength of 1.5418 Å. Input: a cell relaxed with PBE+U.
Intensities are scaled so that the largest is 100.

Main lines, most intense first (15 to 90 degrees two-theta):
2θ 24.32, I = 100.0; 2θ 20.57, I = 79.1; 2θ 33.27, I = 67.2; 2θ 36.02, I = 35.1; 2θ 47.68, I = 30.6; 2θ 49.84, I = 25.2; 2θ 56.37, I = 21.5; 2θ 25.32, I = 18.7; 2θ 63.02, I = 18.2; 2θ 56.92, I = 15.4; 2θ 31.95, I = 15.3; 2θ 76.39, I = 10.2

Atomic structure:
```
Ti3Co2NiP6O24
1.0
4.319 2.493 6.890
-4.319 2.493 6.890
0.000 -4.987 6.890
Ti Co Ni P O
3 2 1 6 24
Cartesian
0.000 0.000 0.000 Ti
0.000 0.000 4.415 Ti
0.000 0.000 14.697 Ti
0.000 0.000 7.421 Co
0.000 0.000 17.713 Co
0.000 0.000 10.300 Ni
-3.043 0.286 9.083 P
-1.264 -2.203 12.491 P
1.273 -2.778 9.083 P
-1.276 2.196 12.491 P
1.769 2.492 9.083 P
2.540 0.007 12.491 P
-3.605 1.031 7.848 O
-0.855 -1.231 5.812 O
-2.819 -2.408 12.433 O
-3.465 1.096 10.339 O
0.910 -3.637 7.848 O
-1.533 0.147 8.872 O
-0.639 1.356 5.812 O
-0.854 -1.522 11.230 O
0.783 -3.549 10.339 O
0.639 -1.401 8.872 O
1.494 -0.125 5.812 O
-0.840 -1.401 13.768 O
-0.891 1.500 11.230 O
-1.498 -0.161 16.133 O
0.894 1.254 8.872 O
-0.794 1.428 13.768 O
1.745 0.022 11.230 O
-0.675 3.645 12.433 O
0.888 -1.217 16.133 O
1.633 -0.026 13.768 O
2.695 2.607 7.848 O
3.495 -1.238 12.433 O
0.610 1.378 16.133 O
2.682 2.453 10.339 O
```

---

Entry 3:
# SrMo2As2O12
Theoretical powder XRD pattern, a wavelength of 1.5418 Å. Input: a cell relaxed with PBE+U.
Intensities are scaled so that the largest is 100.

Main lines, most intense first (15 to 90 degrees two-theta):
2θ 28.09, I = 100.0; 2θ 25.32, I = 55.5; 2θ 15.08, I = 45.5; 2θ 26.69, I = 38.8; 2θ 30.61, I = 31.8; 2θ 30.97, I = 28.2; 2θ 18.32, I = 22.0; 2θ 20.27, I = 21.5; 2θ 51.35, I = 20.7; 2θ 46.37, I = 14.4; 2θ 58.09, I = 14.2; 2θ 41.20, I = 14.1

Atomic structure:
```
SrMo2As2O12
1.0
6.682 0.000 0.000
0.000 7.034 0.000
-0.266 0.000 10.679
Sr Mo As O
2 4 4 24
Cartesian
0.000 0.000 0.000 Sr
-0.133 3.517 5.340 Sr
1.504 0.335 7.092 Mo
1.637 3.182 1.753 Mo
4.780 3.852 8.927 Mo
4.912 6.699 3.587 Mo
1.528 0.293 3.682 As
1.396 3.224 9.022 As
5.021 3.810 1.658 As
4.888 6.741 6.997 As
0.096 4.362 8.967 O
0.228 6.189 3.627 O
1.407 4.758 1.032 O
1.275 5.794 6.371 O
1.365 1.306 5.052 O
1.233 2.211 10.392 O
1.568 1.032 2.131 O
1.435 2.485 7.471 O
1.629 3.564 3.450 O
1.497 6.988 8.789 O
2.846 4.157 9.184 O
2.979 6.395 3.845 O
3.438 0.640 6.835 O
3.570 2.878 1.495 O
4.920 0.046 1.890 O
4.787 3.471 7.230 O
4.981 4.549 3.208 O
4.849 6.002 8.548 O
5.184 4.824 0.288 O
5.051 5.728 5.627 O
5.142 1.241 4.308 O
5.009 2.276 9.648 O
6.188 0.845 7.052 O
6.321 2.672 1.712 O
```

---

Entry 4:
# LiV6O7F5
Theoretical powder XRD pattern, a wavelength of 1.5418 Å. Input: a cell relaxed with PBE+U.
Intensities are scaled so that the largest is 100.

Main lines, most intense first (15 to 90 degrees two-theta):
2θ 25.29, I = 100.0; 2θ 27.03, I = 94.1; 2θ 34.58, I = 48.7; 2θ 34.42, I = 45.4; 2θ 50.95, I = 33.9; 2θ 38.78, I = 26.6; 2θ 59.91, I = 21.4; 2θ 66.07, I = 20.4; 2θ 51.93, I = 18.5; 2θ 55.73, I = 18.0; 2θ 50.63, I = 15.2; 2θ 50.56, I = 14.4

Atomic structure:
```
LiV6O7F5
1.0
4.864 0.000 0.000
0.304 5.695 0.000
0.326 0.653 7.773
Li V O F
1 6 7 5
Cartesian
0.000 0.000 0.000 Li
0.482 5.547 4.486 V
0.693 3.870 7.006 V
0.414 1.690 2.107 V
2.582 4.412 1.890 V
2.741 0.959 7.070 V
2.771 2.697 4.417 V
1.041 1.548 0.115 O
1.402 5.609 2.727 O
1.446 3.922 5.219 O
1.734 4.473 0.072 O
1.826 2.784 2.695 O
4.187 1.507 3.756 O
4.527 5.543 6.348 O
1.769 1.072 5.270 F
3.464 0.346 1.116 F
3.796 2.637 6.326 F
3.801 4.336 3.646 F
4.188 3.285 1.129 F
```

---

Entry 5:
# KLaVWO6
Theoretical powder XRD pattern, a wavelength of 1.5418 Å. Input: a cell relaxed with PBE+U.
Intensities are scaled so that the largest is 100.

Main lines, most intense first (15 to 90 degrees two-theta):
2θ 31.47, I = 100.0; 2θ 19.12, I = 42.8; 2θ 56.02, I = 39.0; 2θ 45.10, I = 32.4; 2θ 37.08, I = 23.8; 2θ 65.68, I = 19.4; 2θ 74.65, I = 16.8; 2θ 49.40, I = 10.4; 2θ 59.75, I = 9.0; 2θ 69.10, I = 8.8; 2θ 22.11, I = 6.8; 2θ 83.24, I = 6.4

Atomic structure:
```
KLaVWO6
1.0
0.000 4.021 4.021
4.021 0.000 4.021
4.021 4.021 0.000
K La V W O
1 1 1 1 6
Cartesian
0.000 0.000 0.000 K
4.021 4.021 4.021 La
2.010 2.010 2.010 V
6.031 6.031 6.031 W
6.031 6.031 4.084 O
6.031 4.084 6.031 O
7.978 6.031 6.031 O
4.084 6.031 6.031 O
6.031 7.978 6.031 O
6.031 6.031 7.978 O
```

---

Entry 6:
# Si4WO10
Theoretical powder XRD pattern, a wavelength of 1.5418 Å. Input: a cell relaxed with PBE+U.
Intensities are scaled so that the largest is 100.

Main lines, most intense first (15 to 90 degrees two-theta):
2θ 28.42, I = 100.0; 2θ 16.48, I = 89.4; 2θ 24.76, I = 75.2; 2θ 15.93, I = 71.4; 2θ 21.78, I = 47.1; 2θ 25.84, I = 31.4; 2θ 50.67, I = 25.3; 2θ 48.58, I = 23.8; 2θ 19.77, I = 23.6; 2θ 37.03, I = 20.5; 2θ 46.05, I = 20.4; 2θ 40.77, I = 20.4

Atomic structure:
```
Si4WO10
1.0
7.607 0.000 0.000
0.000 7.607 0.000
0.000 0.000 16.326
Si W O
16 4 40
Cartesian
0.124 0.567 2.532 Si
0.124 3.236 10.695 Si
0.567 0.124 10.695 Si
0.567 3.679 2.532 Si
3.236 0.124 2.532 Si
3.236 3.679 10.695 Si
3.679 0.567 10.695 Si
3.679 3.236 2.532 Si
3.928 4.371 13.794 Si
3.928 7.040 5.631 Si
4.371 3.928 5.631 Si
4.371 7.483 13.794 Si
7.040 3.928 13.794 Si
7.040 7.483 5.631 Si
7.483 4.371 5.631 Si
7.483 7.040 13.794 Si
1.902 1.902 6.759 W
1.902 1.902 14.922 W
5.705 5.705 1.404 W
5.705 5.705 9.567 W
0.038 1.639 10.403 O
0.038 2.164 2.240 O
0.223 0.910 6.598 O
0.223 2.893 14.761 O
0.277 4.081 4.081 O
0.277 7.330 12.244 O
0.910 0.223 14.761 O
0.910 3.581 6.598 O
1.639 0.038 2.240 O
1.639 3.766 10.403 O
2.164 0.038 10.403 O
2.164 3.766 2.240 O
2.893 0.223 6.598 O
2.893 3.581 14.761 O
3.526 4.081 12.244 O
3.526 7.330 4.081 O
3.581 0.910 14.761 O
3.581 2.893 6.598 O
3.766 1.639 2.240 O
3.766 2.164 10.403 O
3.841 5.443 5.923 O
3.841 5.968 14.085 O
4.026 4.714 9.727 O
4.026 6.697 1.565 O
4.081 0.277 12.244 O
4.081 3.526 4.081 O
4.714 4.026 1.565 O
4.714 7.384 9.727 O
5.443 3.841 14.085 O
5.443 7.569 5.923 O
5.968 3.841 5.923 O
5.968 7.569 14.085 O
6.697 4.026 9.727 O
6.697 7.384 1.565 O
7.330 0.277 4.081 O
7.330 3.526 12.244 O
7.384 4.714 1.565 O
7.384 6.697 9.727 O
7.569 5.443 14.085 O
7.569 5.968 5.923 O
```